Structure and simulated XRD peak list of Li2MnVP4O14 (a GGA+U-relaxed structure; copper Kα).
Kinematic intensities with the Lorentz-polarization factor, no thermal factor.

Most intense lines, 2θ from 15° to 90°, by angle:
d_spacing  two_theta  I (rel.)
5.208  17.02  100
4.018  22.12  20
3.974  22.37  44
3.532  25.22  19
3.315  26.89  21
3.081  28.98  29
3.062  29.16  56
3.021  29.57  27
2.604  34.44  13
2.108  42.90  14

Cell and atoms:
abc: 4.8468 10.9075 10.9125
angles: 99.44 101.98 102.07
Sites, in units of the cell vectors:
Li 0.0000 0.0000 0.0000
Li 0.0023 0.5008 0.5030
Li 0.3503 0.9260 0.4279
Li 0.3537 0.4256 0.9259
Mn 0.3902 0.7721 0.6349
Mn 0.9624 0.7920 0.1550
V 0.3927 0.2716 0.1342
V 0.9630 0.2939 0.6565
P 0.3878 0.0938 0.6696
P 0.3911 0.5949 0.1724
P 0.5765 0.5075 0.6890
P 0.5769 0.0066 0.1910
P 0.7761 0.2361 0.9183
P 0.7770 0.7384 0.4232
P 0.9634 0.2560 0.3348
P 0.9651 0.7574 0.8309
O 0.0433 0.3125 0.4785
O 0.0518 0.8154 0.9739
O 0.1198 0.6444 0.1796
O 0.1260 0.1462 0.6841
O 0.2268 0.2449 0.2826
O 0.2341 0.7472 0.7803
O 0.3034 0.9510 0.6113
O 0.3092 0.4509 0.1161
O 0.3610 0.9156 0.2418
O 0.3675 0.4182 0.7436
O 0.4209 0.5762 0.5968
O 0.4273 0.0807 0.1016
O 0.5685 0.7981 0.4888
O 0.5726 0.2984 0.9841
O 0.5749 0.1678 0.5947
O 0.5780 0.6682 0.0963
O 0.5792 0.6106 0.3179
O 0.5807 0.1079 0.8159
O 0.7726 0.1091 0.3194
O 0.7743 0.6123 0.8168
O 0.7773 0.8322 0.7572
O 0.7775 0.3319 0.2615
O 0.7797 0.9398 0.1282
O 0.7858 0.4434 0.6297
O 0.9261 0.8302 0.3521
O 0.9306 0.3268 0.8464
O 0.9874 0.6841 0.5118
O 0.9903 0.1854 0.0094